# ZnBRhO5
Simulated XRD peak list, Cu Kα, 1.54184 Å. Input: a GGA-PBE-relaxed structure.

Atomic structure:
a b c (Å): 6.3381 8.0364 6.9466
angles (deg): 90.00 115.27 90.00
Space group C2/c (No. 15)
Asymmetric unit:
Zn1 0.0000 0.1548 0.2500 (multiplicity 4)
B1 0.0000 0.1827 0.7500 (multiplicity 4)
Rh1 0.0000 0.5000 0.0000 (multiplicity 4)
O1 0.0000 0.3980 0.2500 (multiplicity 4)
O2 0.1118 0.2787 0.6414 (multiplicity 8)
O3 0.1663 0.0584 0.9056 (multiplicity 8)

Principal peaks in the range 15° ≤ 2θ ≤ 90°, low angle first:
hkl 1 1 0, 2θ = 19.02°, 4.666 Å, I = 44
hkl 0 2 0, 2θ = 22.12°, 4.018 Å, I = 19
hkl 1 1 -2, 2θ = 28.20°, 3.164 Å, I = 100
hkl 2 0 0, 2θ = 31.21°, 2.866 Å, I = 56
hkl 0 2 2, 2θ = 36.30°, 2.475 Å, I = 44
hkl 1 3 0, 2θ = 37.04°, 2.427 Å, I = 47
hkl 3 1 -2, 2θ = 45.20°, 2.006 Å, I = 27
hkl 0 4 2, 2θ = 54.19°, 1.692 Å, I = 17
hkl 2 4 -2, 2θ = 56.42°, 1.631 Å, I = 19
hkl 3 3 0, 2θ = 59.42°, 1.555 Å, I = 18


# B2SO
Simulated XRD peak list, Cu Kα, 1.54184 Å. Input: a GGA-PBE-relaxed structure.

Atomic structure:
a b c (Å): 4.3321 4.3321 7.9602
angles (deg): 90.00 90.00 90.00
Space group I-42d (No. 122)
Asymmetric unit:
B1 0.2252 0.2500 0.1250 (multiplicity 8)
S1 0.0000 0.0000 0.5000 (multiplicity 4)
O1 0.0000 0.0000 0.0000 (multiplicity 4)

Principal peaks in the range 15° ≤ 2θ ≤ 90°, low angle first:
hkl 1 0 1, 2θ = 23.38°, 3.805 Å, I = 14
hkl 1 1 2, 2θ = 37.03°, 2.428 Å, I = 100
hkl 1 0 3, 2θ = 39.84°, 2.263 Å, I = 5
hkl 2 0 0, 2θ = 41.70°, 2.166 Å, I = 15
hkl 0 0 4, 2θ = 45.58°, 1.990 Å, I = 5
hkl 2 1 1, 2θ = 48.35°, 1.882 Å, I = 6
hkl 2 2 0, 2θ = 60.44°, 1.532 Å, I = 14
hkl 2 0 4, 2θ = 63.48°, 1.465 Å, I = 24
hkl 3 1 2, 2θ = 73.05°, 1.295 Å, I = 20
hkl 1 1 6, 2θ = 78.58°, 1.217 Å, I = 8


# B4SbO7
Simulated XRD peak list, Cu Kα, 1.54184 Å. Input: a GGA-PBE-relaxed structure.

Atomic structure:
a b c (Å): 11.0625 4.5907 4.2931
angles (deg): 90.00 90.00 90.00
Space group Pmn2_1 (No. 31)
Asymmetric unit:
B1 0.1219 0.1675 0.0000 (multiplicity 4)
B2 0.2464 0.3251 0.4856 (multiplicity 4)
Sb1 0.0000 0.6050 0.4597 (multiplicity 2)
O1 0.0000 0.2195 0.8902 (multiplicity 2)
O2 0.1292 0.2592 0.3355 (multiplicity 4)
O3 0.1612 0.8785 0.9406 (multiplicity 4)
O4 0.2136 0.3847 0.8305 (multiplicity 4)

Principal peaks in the range 15° ≤ 2θ ≤ 90°, low angle first:
hkl 2 0 0, 2θ = 16.02°, 5.531 Å, I = 38
hkl 0 1 0, 2θ = 19.33°, 4.591 Å, I = 48
hkl 1 0 1, 2θ = 22.21°, 4.002 Å, I = 56
hkl 1 1 1, 2θ = 29.61°, 3.017 Å, I = 100
hkl 3 0 1, 2θ = 32.00°, 2.797 Å, I = 65
hkl 2 1 1, 2θ = 32.83°, 2.728 Å, I = 60
hkl 4 1 0, 2θ = 37.98°, 2.369 Å, I = 35
hkl 0 0 2, 2θ = 42.10°, 2.147 Å, I = 29
hkl 4 1 1, 2θ = 43.64°, 2.074 Å, I = 35
hkl 3 2 0, 2θ = 46.61°, 1.949 Å, I = 30


# BSbO4
Simulated XRD peak list, Cu Kα, 1.54184 Å. Input: a GGA-PBE-relaxed structure.

Atomic structure:
a b c (Å): 4.4053 4.4053 7.6495
angles (deg): 90.00 90.00 90.00
Space group P-42c (No. 112)
Asymmetric unit:
B1 0.0000 0.5000 0.2500 (multiplicity 2)
Sb1 0.0000 0.0000 0.0000 (multiplicity 2)
O1 0.1984 0.3038 0.3605 (multiplicity 8)

Principal peaks in the range 15° ≤ 2θ ≤ 90°, low angle first:
hkl 1 0 0, 2θ = 20.16°, 4.405 Å, I = 100
hkl 0 0 2, 2θ = 23.27°, 3.823 Å, I = 31
hkl 1 1 0, 2θ = 28.66°, 3.115 Å, I = 32
hkl 1 0 2, 2θ = 30.96°, 2.888 Å, I = 69
hkl 1 1 2, 2θ = 37.23°, 2.415 Å, I = 58
hkl 2 1 0, 2θ = 46.07°, 1.970 Å, I = 23
hkl 2 0 2, 2θ = 47.64°, 1.909 Å, I = 23
hkl 1 0 4, 2θ = 52.20°, 1.752 Å, I = 47
hkl 2 0 4, 2θ = 64.53°, 1.444 Å, I = 15
hkl 3 0 2, 2θ = 68.39°, 1.372 Å, I = 20